Record 1
# LiTl2GaF6
Calculated powder XRD pattern, CuKα. Input: a crystal structure in Alexandria, relaxed with PBE.
No peak broadening, texture or thermal motion is included.

Principal peaks in the range 2θ = 15–90°, in order of falling intensity:
two_theta	intensity
24.26	100
29.60	55
38.63	55
49.41	27
38.99	16
49.70	14
46.35	14
58.92	14
67.06	14
34.84	12

Structural model:
Cell: 6.036 6.036 5.151 Å, 90.00 90.00 120.00°
Fractional coordinates of all 10 atoms:
Li (0.000, 0.000, 0.000)
Tl (0.333, 0.667, 0.756)
Tl (0.667, 0.333, 0.244)
Ga (0.000, 0.000, 0.500)
F (0.145, 0.291, 0.270)
F (0.145, 0.855, 0.270)
F (0.291, 0.145, 0.730)
F (0.709, 0.855, 0.270)
F (0.855, 0.145, 0.730)
F (0.855, 0.709, 0.730)

Record 2
# Li2Sn3Hg
Calculated powder XRD pattern, CuKα. Input: a crystal structure in Alexandria, relaxed with PBE.
No peak broadening, texture or thermal motion is included.

Principal peaks in the range 2θ = 15–90°, in order of falling intensity:
two_theta	intensity
29.31	100
23.15	93
38.88	82
32.98	80
33.41	71
20.02	63
37.68	60
44.56	52
41.04	47
40.68	44

Structural model:
Cell: 5.143 5.143 10.816 Å, 94.83 94.83 96.65°
Fractional coordinates of all 12 atoms:
Li (0.107, 0.630, 0.862)
Li (0.370, 0.893, 0.638)
Li (0.630, 0.107, 0.362)
Li (0.893, 0.370, 0.138)
Sn (0.194, 0.308, 0.492)
Sn (0.308, 0.194, 0.992)
Sn (0.452, 0.548, 0.250)
Sn (0.548, 0.452, 0.750)
Sn (0.692, 0.806, 0.008)
Sn (0.806, 0.692, 0.508)
Hg (0.071, 0.929, 0.250)
Hg (0.929, 0.071, 0.750)

Record 3
# Tb5PmTm12
Calculated powder XRD pattern, CuKα. Input: a crystal structure in Alexandria, relaxed with PBE.
No peak broadening, texture or thermal motion is included.

Principal peaks in the range 2θ = 15–90°, in order of falling intensity:
two_theta	intensity
31.14	100
36.12	51
52.00	36
61.84	28
61.93	14
64.95	12
84.97	12
87.79	8
85.06	6
87.65	6

Structural model:
Cell: 7.874 7.874 14.919 Å, 90.00 90.00 143.22°
Fractional coordinates of all 18 atoms:
Tb (0.000, 0.000, 0.000)
Tb (0.167, 0.833, 0.500)
Tb (0.333, 0.667, 0.000)
Tb (0.667, 0.333, 0.000)
Tb (0.833, 0.167, 0.500)
Pm (0.500, 0.500, 0.500)
Tm (0.000, 0.000, 0.331)
Tm (0.000, 0.000, 0.669)
Tm (0.167, 0.833, 0.167)
Tm (0.167, 0.833, 0.833)
Tm (0.333, 0.667, 0.332)
Tm (0.333, 0.667, 0.668)
Tm (0.500, 0.500, 0.167)
Tm (0.500, 0.500, 0.833)
Tm (0.667, 0.333, 0.332)
Tm (0.667, 0.333, 0.668)
Tm (0.833, 0.167, 0.167)
Tm (0.833, 0.167, 0.833)

Record 4
# K3UAg2Cl9
Calculated powder XRD pattern, CuKα. Input: a crystal structure in Alexandria, relaxed with PBE.
No peak broadening, texture or thermal motion is included.

Principal peaks in the range 2θ = 15–90°, in order of falling intensity:
two_theta	intensity
16.40	100
33.15	57
23.56	40
22.98	39
36.81	33
37.58	25
48.21	20
41.07	18
46.95	17
50.67	13

Structural model:
Cell: 7.551 7.551 9.604 Å, 90.00 90.00 120.00°
Fractional coordinates of all 15 atoms:
K (0.000, 0.000, 0.000)
K (0.333, 0.667, 0.763)
K (0.667, 0.333, 0.237)
U (0.000, 0.000, 0.500)
Ag (0.333, 0.667, 0.157)
Ag (0.667, 0.333, 0.843)
Cl (0.000, 0.500, 0.000)
Cl (0.161, 0.323, 0.337)
Cl (0.161, 0.839, 0.337)
Cl (0.323, 0.161, 0.663)
Cl (0.500, 0.000, 0.000)
Cl (0.500, 0.500, 0.000)
Cl (0.677, 0.839, 0.337)
Cl (0.839, 0.161, 0.663)
Cl (0.839, 0.677, 0.663)